[1]
# CsScP2H2O8
Calculated powder X-ray diffraction pattern, Cu Kα. Input: a structure optimized by DFT (GGA-PBE).

a = 5.4253 Å, b = 9.3345 Å, c = 14.9057 Å
α = 90.00°, β = 94.64°, γ = 90.00°
Fractional coordinates of all 56 atoms:
Cs  0.2315  0.0049  0.3891
Cs  0.2315  0.4951  0.8891
Cs  0.7685  0.5049  0.1109
Cs  0.7685  0.9951  0.6109
Sc  0.2467  0.0354  0.8493
Sc  0.2467  0.4646  0.3493
Sc  0.7533  0.5354  0.6507
Sc  0.7533  0.9646  0.1507
P  0.2229  0.1506  0.0612
P  0.2229  0.3494  0.5612
P  0.2744  0.7469  0.1930
P  0.2744  0.7531  0.6930
P  0.7256  0.2469  0.3070
P  0.7256  0.2531  0.8070
P  0.7771  0.6506  0.4388
P  0.7771  0.8494  0.9388
H  0.2420  0.7082  0.5475
H  0.2420  0.7918  0.0475
H  0.3395  0.2008  0.6718
H  0.3395  0.2992  0.1718
H  0.6605  0.7008  0.8282
H  0.6605  0.7992  0.3282
H  0.7580  0.2082  0.9525
H  0.7580  0.2918  0.4525
O  0.0447  0.6141  0.4190
O  0.0447  0.8859  0.9190
O  0.0687  0.6462  0.7091
O  0.0687  0.8538  0.2091
O  0.2382  0.6005  0.2361
O  0.2382  0.8995  0.7361
O  0.2426  0.1743  0.9603
O  0.2426  0.3257  0.4603
O  0.2614  0.7071  0.0867
O  0.2614  0.7929  0.5867
O  0.2879  0.1946  0.6053
O  0.2879  0.3054  0.1053
O  0.4112  0.0425  0.1022
O  0.4112  0.4575  0.6022
O  0.4650  0.1922  0.7793
O  0.4650  0.3078  0.2793
O  0.5350  0.6922  0.7207
O  0.5350  0.8078  0.2207
O  0.5888  0.5425  0.3978
O  0.5888  0.9575  0.8978
O  0.7121  0.6946  0.8947
O  0.7121  0.8054  0.3947
O  0.7386  0.2071  0.4133
O  0.7386  0.2929  0.9133
O  0.7574  0.6743  0.5397
O  0.7574  0.8257  0.0397
O  0.7618  0.1005  0.2639
O  0.7618  0.3995  0.7639
O  0.9313  0.1462  0.7909
O  0.9313  0.3538  0.2909
O  0.9553  0.1141  0.0810
O  0.9553  0.3859  0.5810

Top 10 peaks for 2θ = 15–90°, in order of falling intensity:
| h k l | 2θ (°) | I/Imax |
| --- | --- | --- |
| 1 2 -2 | 27.37 | 100 |
| 1 2 2 | 28.54 | 69 |
| 2 0 0 | 33.14 | 43 |
| 1 1 -3 | 25.25 | 41 |
| 0 2 4 | 30.77 | 41 |
| 0 0 4 | 23.96 | 33 |
| 1 1 3 | 27.12 | 24 |
| 1 0 2 | 21.09 | 21 |
| 0 4 4 | 45.90 | 21 |
| 0 2 0 | 19.01 | 20 |

[2]
# KBa6Na10
Calculated powder X-ray diffraction pattern, Cu Kα. Input: a structure optimized by DFT (GGA-PBE).

a = 11.3439 Å, b = 11.3439 Å, c = 7.7741 Å
α = 90.00°, β = 90.00°, γ = 120.00°
Fractional coordinates of all 17 atoms:
K  0.0000  0.0000  0.0000
Ba  0.0000  0.3840  0.7799
Ba  0.0000  0.6160  0.2201
Ba  0.3840  0.0000  0.7799
Ba  0.3840  0.3840  0.2201
Ba  0.6160  0.0000  0.2201
Ba  0.6160  0.6160  0.7799
Na  0.0000  0.2696  0.3119
Na  0.0000  0.7304  0.6881
Na  0.2696  0.0000  0.3119
Na  0.2696  0.2696  0.6881
Na  0.3333  0.6667  0.0000
Na  0.3333  0.6667  0.5000
Na  0.6667  0.3333  0.0000
Na  0.6667  0.3333  0.5000
Na  0.7304  0.0000  0.6881
Na  0.7304  0.7304  0.3119

Top 10 peaks for 2θ = 15–90°, in order of falling intensity:
| h k l | 2θ (°) | I/Imax |
| --- | --- | --- |
| 2 -1 1 | 19.37 | 100 |
| 1 1 2 | 27.82 | 61 |
| 3 0 0 | 27.23 | 56 |
| 3 -1 1 | 26.60 | 53 |
| 4 -1 1 | 34.89 | 39 |
| 1 1 0 | 15.62 | 26 |
| 4 2 1 | 50.54 | 24 |
| 4 -1 3 | 48.49 | 24 |
| 0 0 2 | 22.88 | 22 |
| 3 0 2 | 35.85 | 19 |

[3]
# SmThGe2
Calculated powder X-ray diffraction pattern, Cu Kα. Input: a structure optimized by DFT (GGA-PBE).

a = 4.1553 Å, b = 5.9643 Å, c = 8.1016 Å
α = 90.00°, β = 90.00°, γ = 90.00°
Fractional coordinates of all 8 atoms:
Sm  0.0000  0.1243  0.0000
Sm  0.0000  0.8757  0.5000
Th  0.5000  0.3739  0.3632
Th  0.5000  0.6261  0.8632
Ge  0.0000  0.3957  0.6403
Ge  0.0000  0.6043  0.1403
Ge  0.5000  0.1075  0.7232
Ge  0.5000  0.8925  0.2232

Top 10 peaks for 2θ = 15–90°, in order of falling intensity:
| h k l | 2θ (°) | I/Imax |
| --- | --- | --- |
| 1 0 2 | 30.83 | 100 |
| 0 2 1 | 31.98 | 100 |
| 1 1 1 | 28.40 | 89 |
| 1 1 2 | 34.38 | 89 |
| 1 2 1 | 38.80 | 77 |
| 0 1 3 | 36.52 | 50 |
| 2 2 1 | 55.05 | 44 |
| 2 0 0 | 43.56 | 41 |
| 0 1 4 | 47.40 | 31 |
| 2 1 3 | 58.11 | 27 |

[4]
# HfMgZnSn
Calculated powder X-ray diffraction pattern, Cu Kα. Input: a structure optimized by DFT (GGA-PBE).

a = 4.1766 Å, b = 4.3123 Å, c = 4.3592 Å
α = 90.00°, β = 90.00°, γ = 90.00°
Fractional coordinates of all 4 atoms:
Hf  0.0000  0.0000  0.0000
Mg  0.0000  0.5000  0.5000
Zn  0.5000  0.0000  0.5000
Sn  0.5000  0.5000  0.0000

Top 10 peaks for 2θ = 15–90°, in order of falling intensity:
| h k l | 2θ (°) | I/Imax |
| --- | --- | --- |
| 1 1 1 | 36.35 | 100 |
| 0 0 1 | 20.37 | 27 |
| 1 1 0 | 29.78 | 21 |
| 0 0 2 | 41.43 | 17 |
| 0 2 0 | 41.90 | 17 |
| 2 0 0 | 43.33 | 15 |
| 1 1 3 | 72.24 | 14 |
| 1 3 1 | 72.90 | 13 |
| 3 1 1 | 74.91 | 12 |
| 0 2 2 | 60.39 | 11 |